Entry 1:
Diffraction record for GdDy2Ga3FeGe2. The powder X-ray diffraction pattern is theoretical, not measured: it uses a cell relaxed with GGA-PBE and a wavelength of 1.5418 Å.

Crystal structure
```
data_GdDy2Ga3FeGe2
_symmetry_space_group_name_H-M 'A m m 2'
_symmetry_Int_Tables_number 38
_symmetry_space_group_name_Hall 'A 2 -2'
_cell_length_a 4.156
_cell_length_b 12.102
_cell_length_c 6.972
_cell_angle_alpha 90.00
_cell_angle_beta 90.00
_cell_angle_gamma 90.00
loop_
_atom_site_label
_atom_site_fract_x
_atom_site_fract_y
_atom_site_fract_z
Gd1 0.000 0.000 0.000
Dy1 0.000 0.200 0.401
Ga1 0.500 0.000 0.374
Ga2 0.500 0.113 0.713
Fe1 0.000 0.000 0.599
Ge1 0.500 0.167 0.100
```

Largest 12 diffraction maxima, in order of rising 2θ, 10° ≤ 2θ ≤ 90°:
h k l	2θ (°)	Rel. int.
0 3 1	25.52	17
1 0 2	33.53	100
1 2 2	36.77	58
0 5 1	39.44	36
2 0 0	43.55	24
0 6 0	44.99	18
1 5 1	45.29	13
1 7 1	59.43	15
2 5 1	60.20	20
2 6 0	64.41	12
1 8 2	71.72	11
3 0 2	73.56	10

***

Entry 2:
Diffraction record for Ni3HgSe2S2. The powder X-ray diffraction pattern is theoretical, not measured: it uses a cell relaxed with GGA-PBE and a wavelength of 1.5418 Å.

Crystal structure
```
data_Ni3HgSe2S2
_symmetry_space_group_name_H-M 'C m m 2'
_symmetry_Int_Tables_number 35
_symmetry_space_group_name_Hall 'C 2 -2'
_cell_length_a 7.519
_cell_length_b 7.676
_cell_length_c 5.951
_cell_angle_alpha 90.00
_cell_angle_beta 90.00
_cell_angle_gamma 90.00
loop_
_atom_site_label
_atom_site_fract_x
_atom_site_fract_y
_atom_site_fract_z
Ni1 0.000 0.000 0.000
Ni2 0.250 0.250 0.032
Hg1 0.000 0.000 0.529
Se1 0.214 0.500 0.811
S1 0.000 0.241 0.213
```

Largest 12 diffraction maxima, in order of rising 2θ, 10° ≤ 2θ ≤ 90°:
h k l	2θ (°)	Rel. int.
0 0 1	14.89	17
1 1 0	16.50	100
1 1 1	22.29	37
0 2 0	23.17	21
0 2 1	27.66	68
2 0 1	28.07	57
1 1 2	34.46	53
3 1 0	37.76	33
2 2 2	45.49	91
0 4 0	47.37	24
4 0 0	48.44	40
4 4 0	70.08	18